1.
Simulated XRD peak list
Compound: Bi2AsO5
Radiation: Cu Kα
Structure: DFT lattice parameters and positions (GGA-PBE)

Structure:
```
data_Bi2AsO5
_chemical_formula_sum 'Bi16 As8 O40'
_cell_length_a 15.690
_cell_length_b 7.299
_cell_length_c 11.401
_cell_angle_alpha 90.00
_cell_angle_beta 122.16
_cell_angle_gamma 90.00
_space_group_name_H-M_alt 'C 1 2/c 1'
_space_group_IT_number 15
loop_
_space_group_symop_operation_xyz
'x,y,z'
'-x,-y,-z'
'-x,y,-z+1/2'
'x,-y,z+1/2'
'x+1/2,y+1/2,z'
'-x+1/2,-y+1/2,-z'
'-x+1/2,y+1/2,-z+1/2'
'x+1/2,-y+1/2,z+1/2'
loop_
_atom_site_label
_atom_site_type_symbol
_atom_site_fract_x
_atom_site_fract_y
_atom_site_fract_z
Bi1 Bi 0.044 0.239 0.490
Bi2 Bi 0.140 0.101 0.843
As1 As 0.182 0.414 0.305
O1 O 0.011 0.081 0.889
O2 O 0.089 0.487 0.135
O3 O 0.132 0.222 0.346
O4 O 0.201 0.131 0.681
O5 O 0.202 0.414 0.926
```

Principal peaks in the range 10 to 80 degrees two-theta, by angle:
- 13.8°, intensity 40, (1 1 0)
- 20.9°, intensity 56, (3 1 -1)
- 23.1°, intensity 62, (4 0 -2)
- 26.1°, intensity 63, (0 2 1)
- 27.0°, intensity 76, (3 1 -3)
- 28.0°, intensity 100, (2 0 2)
- 30.7°, intensity 42, (0 2 2)
- 32.2°, intensity 53, (5 1 -1)
- 37.8°, intensity 38, (6 0 -4)
- 48.4°, intensity 36, (5 3 -3)

2.
Simulated XRD peak list
Compound: Nd6HoTl6
Radiation: Cu Kα
Structure: DFT lattice parameters and positions (GGA-PBE)

Structure:
```
data_Nd6HoTl6
_chemical_formula_sum 'Nd6 Ho1 Tl6'
_cell_length_a 6.546
_cell_length_b 9.989
_cell_length_c 6.943
_cell_angle_alpha 90.00
_cell_angle_beta 115.28
_cell_angle_gamma 90.00
_space_group_name_H-M_alt 'P 1 2/m 1'
_space_group_IT_number 10
loop_
_space_group_symop_operation_xyz
'x,y,z'
'-x,-y,-z'
'-x,y,-z'
'x,-y,z'
loop_
_atom_site_label
_atom_site_type_symbol
_atom_site_fract_x
_atom_site_fract_y
_atom_site_fract_z
Nd1 Nd 0.000 0.190 0.000
Nd2 Nd 0.000 0.252 0.500
Nd3 Nd 0.500 0.307 0.000
Ho1 Ho 0.500 0.500 0.500
Tl1 Tl 0.048 0.500 0.806
Tl2 Tl 0.291 0.000 0.789
Tl3 Tl 0.500 0.183 0.500
```

Principal peaks in the range 10 to 80 degrees two-theta, by angle:
- 24.7°, intensity 30, (1 0 1)
- 30.2°, intensity 49, (2 0 0)
- 30.6°, intensity 29, (1 2 1)
- 31.1°, intensity 100, (1 3 -1)
- 31.5°, intensity 83, (2 0 -2)
- 32.8°, intensity 25, (2 1 -2)
- 33.7°, intensity 80, (0 2 2)
- 36.7°, intensity 27, (1 3 1)
- 40.8°, intensity 34, (2 3 0)
- 61.4°, intensity 28, (1 6 1)

3.
Simulated XRD peak list
Compound: CsKNpS3
Radiation: Cu Kα
Structure: DFT lattice parameters and positions (GGA-PBE)

Structure:
```
data_CsKNpS3
_chemical_formula_sum 'Cs4 K4 Np4 S12'
_cell_length_a 7.692
_cell_length_b 15.332
_cell_length_c 7.345
_cell_angle_alpha 90.00
_cell_angle_beta 99.84
_cell_angle_gamma 90.00
_space_group_name_H-M_alt 'C 1 2/c 1'
_space_group_IT_number 15
loop_
_space_group_symop_operation_xyz
'x,y,z'
'-x,-y,-z'
'-x,y,-z+1/2'
'x,-y,z+1/2'
'x+1/2,y+1/2,z'
'-x+1/2,-y+1/2,-z'
'-x+1/2,y+1/2,-z+1/2'
'x+1/2,-y+1/2,z+1/2'
loop_
_atom_site_label
_atom_site_type_symbol
_atom_site_fract_x
_atom_site_fract_y
_atom_site_fract_z
Cs1 Cs 0.000 0.249 0.250
K1 K 0.000 0.419 0.750
Np1 Np 0.000 0.053 0.750
S1 S 0.000 0.217 0.750
S2 S 0.215 0.037 0.503
```

Principal peaks in the range 10 to 80 degrees two-theta, by angle:
- 13.0°, intensity 100, (1 1 0)
- 16.8°, intensity 19, (0 2 1)
- 23.3°, intensity 74, (1 3 -1)
- 23.5°, intensity 45, (2 0 0)
- 24.6°, intensity 39, (0 0 2)
- 25.4°, intensity 77, (1 3 1)
- 31.1°, intensity 39, (2 0 -2)
- 37.2°, intensity 24, (2 0 2)
- 39.8°, intensity 23, (3 3 -1)
- 41.3°, intensity 21, (1 3 -3)